Record 1
For Li4Fe3Cu3Te2O16, a DFT-relaxed cell (PBE+U, the Materials Project) gives the calculated PXRD pattern in this record (a wavelength of 1.5418 Å).
Peak positions follow from Bragg's law for the DFT cell and can differ from measured ones.

Main lines, in order of rising 2θ (10 to 90 degrees two-theta):
- 4.715 Å, 2θ = 18.8°, rel. 30, hkl 0 1 -1
- 4.610 Å, 2θ = 19.3°, rel. 67, hkl 1 -1 1
- 4.522 Å, 2θ = 19.6°, rel. 100, hkl 1 0 1
- 3.604 Å, 2θ = 24.7°, rel. 23, hkl 1 0 -2
- 2.800 Å, 2θ = 32.0°, rel. 26, hkl 1 0 -3
- 2.739 Å, 2θ = 32.7°, rel. 24, hkl 1 0 3
- 2.614 Å, 2θ = 34.3°, rel. 41, hkl 1 1 -2
- 2.536 Å, 2θ = 35.4°, rel. 29, hkl 2 -1 2
- 2.518 Å, 2θ = 35.7°, rel. 31, hkl -1 2 2
- 2.506 Å, 2θ = 35.8°, rel. 22, hkl 2 0 -1
- 2.051 Å, 2θ = 44.2°, rel. 22, hkl 2 -2 3
- 1.502 Å, 2θ = 61.8°, rel. 31, hkl 2 2 0

Structure:
```
data_Li4Fe3Cu3Te2O16
_cell_length_a 5.917
_cell_length_b 6.010
_cell_length_c 9.865
_cell_angle_alpha 92.43
_cell_angle_beta 90.02
_cell_angle_gamma 119.41
_space_group_name_H-M_alt 'P 1'
_space_group_IT_number 1
loop_
_space_group_symop_operation_xyz
'x,y,z'
loop_
_atom_site_label
_atom_site_type_symbol
_atom_site_fract_x
_atom_site_fract_y
_atom_site_fract_z
_atom_site_occupancy
Li1 Li 0.000 0.000 0.000 1
Li2 Li 0.004 0.008 0.505 1
Li3 Li 0.339 0.679 0.436 1
Li4 Li 0.661 0.322 0.934 1
Fe1 Fe 0.173 0.347 0.735 1
Fe2 Fe 0.345 0.183 0.234 1
Fe3 Fe 0.838 0.183 0.234 1
Cu1 Cu 0.170 0.833 0.730 1
Cu2 Cu 0.663 0.833 0.730 1
Cu3 Cu 0.834 0.667 0.229 1
Te1 Te 0.332 0.663 0.004 1
Te2 Te 0.675 0.350 0.504 1
O1 O 0.000 0.001 0.810 1
O2 O 0.002 0.004 0.315 1
O3 O 0.026 0.491 0.882 1
O4 O 0.177 0.354 0.121 1
O5 O 0.179 0.842 0.107 1
O6 O 0.337 0.673 0.639 1
O7 O 0.357 0.201 0.608 1
O8 O 0.465 0.490 0.882 1
O9 O 0.474 0.947 0.871 1
O10 O 0.514 0.483 0.377 1
O11 O 0.525 0.049 0.368 1
O12 O 0.663 0.842 0.107 1
O13 O 0.668 0.337 0.134 1
O14 O 0.842 0.685 0.608 1
O15 O 0.844 0.201 0.608 1
O16 O 0.969 0.484 0.377 1
```

=====

Record 2
For LiCoPO4, a DFT-relaxed cell (PBE+U, the Materials Project) gives the calculated PXRD pattern in this record (a wavelength of 1.5418 Å).
Peak positions follow from Bragg's law for the DFT cell and can differ from measured ones.

Main lines, in order of rising 2θ (10 to 90 degrees two-theta):
- 4.371 Å, 2θ = 20.3°, rel. 96, hkl 1 0 1
- 4.164 Å, 2θ = 21.3°, rel. 66, hkl 0 1 2
- 3.954 Å, 2θ = 22.5°, rel. 100, hkl 0 0 6
- 2.696 Å, 2θ = 33.2°, rel. 44, hkl 1 0 7
- 2.567 Å, 2θ = 34.9°, rel. 74, hkl 1 1 0
- 2.442 Å, 2θ = 36.8°, rel. 49, hkl 1 1 3
- 2.185 Å, 2θ = 41.3°, rel. 17, hkl 2 0 2
- 2.153 Å, 2θ = 42.0°, rel. 29, hkl 1 1 6
- 1.839 Å, 2θ = 49.6°, rel. 27, hkl 1 1 9
- 1.688 Å, 2θ = 54.3°, rel. 24, hkl 1 0 13
- 1.482 Å, 2θ = 62.7°, rel. 29, hkl 3 0 0
- 1.388 Å, 2θ = 67.5°, rel. 17, hkl 0 3 6

Structure:
```
data_LiCoPO4
_cell_length_a 5.1347
_cell_length_b 5.1347
_cell_length_c 23.7268
_cell_angle_alpha 90.00
_cell_angle_beta 90.00
_cell_angle_gamma 120.00
_space_group_name_H-M_alt 'R -3'
_space_group_IT_number 148
_space_group_name_Hall '-R 3'
loop_
_atom_site_label
_atom_site_type_symbol
_atom_site_fract_x
_atom_site_fract_y
_atom_site_fract_z
_atom_site_occupancy
Li1 Li 0.0000 0.0000 0.1254 1
Co1 Co 0.0000 0.0000 0.2692 1
P1 P 0.0000 0.0000 0.4137 1
O1 O 0.0000 0.0000 0.3493 1
O2 O 0.0141 0.7205 0.4360 1
```

=====

Record 3
For Li9Mn10O20, a DFT-relaxed cell (PBE+U, the Materials Project) gives the calculated PXRD pattern in this record (a wavelength of 1.5418 Å).
Peak positions follow from Bragg's law for the DFT cell and can differ from measured ones.

Main lines, in order of rising 2θ (10 to 90 degrees two-theta):
- 7.197 Å, 2θ = 12.3°, rel. 76, hkl 0 1 0
- 4.879 Å, 2θ = 18.2°, rel. 100, hkl 0 0 2
- 4.774 Å, 2θ = 18.6°, rel. 37, hkl 1 -1 0
- 4.026 Å, 2θ = 22.1°, rel. 29, hkl 1 0 -2
- 3.445 Å, 2θ = 25.9°, rel. 28, hkl 1 1 0
- 2.669 Å, 2θ = 33.6°, rel. 24, hkl 1 2 -2
- 2.516 Å, 2θ = 35.7°, rel. 24, hkl 1 -3 0
- 2.222 Å, 2θ = 40.6°, rel. 79, hkl 1 2 -4
- 2.082 Å, 2θ = 43.5°, rel. 66, hkl 2 -1 2
- 2.070 Å, 2θ = 43.7°, rel. 63, hkl -1 3 2
- 1.530 Å, 2θ = 60.5°, rel. 20, hkl 0 5 -2
- 1.514 Å, 2θ = 61.2°, rel. 20, hkl 1 -3 6

Structure:
```
data_Li9Mn10O20
_cell_length_a 5.131
_cell_length_b 7.957
_cell_length_c 10.585
_cell_angle_alpha 105.64
_cell_angle_beta 101.22
_cell_angle_gamma 105.78
_space_group_name_H-M_alt 'P 1'
_space_group_IT_number 1
loop_
_space_group_symop_operation_xyz
'x,y,z'
loop_
_atom_site_label
_atom_site_type_symbol
_atom_site_fract_x
_atom_site_fract_y
_atom_site_fract_z
_atom_site_occupancy
Li1 Li 0.000 0.000 0.000 1
Li2 Li 0.003 0.977 0.497 1
Li3 Li 0.159 0.347 0.491 1
Li4 Li 0.179 0.356 0.994 1
Li5 Li 0.410 0.811 0.010 1
Li6 Li 0.568 0.139 0.501 1
Li7 Li 0.574 0.162 0.008 1
Li8 Li 0.781 0.077 0.254 1
Li9 Li 0.786 0.072 0.739 1
Mn1 Mn 0.200 0.890 0.250 1
Mn2 Mn 0.207 0.892 0.749 1
Mn3 Mn 0.370 0.265 0.252 1
Mn4 Mn 0.374 0.271 0.753 1
Mn5 Mn 0.580 0.685 0.249 1
Mn6 Mn 0.593 0.692 0.748 1
Mn7 Mn 0.778 0.581 0.499 1
Mn8 Mn 0.793 0.586 0.000 1
Mn9 Mn 0.984 0.472 0.251 1
Mn10 Mn 0.991 0.478 0.753 1
O1 O 0.004 0.254 0.638 1
O2 O 0.009 0.250 0.131 1
O3 O 0.180 0.109 0.369 1
O4 O 0.185 0.627 0.654 1
O5 O 0.193 0.118 0.869 1
O6 O 0.207 0.649 0.134 1
O7 O 0.354 0.501 0.363 1
O8 O 0.364 0.512 0.868 1
O9 O 0.392 0.048 0.131 1
O10 O 0.392 0.055 0.639 1
O11 O 0.571 0.914 0.865 1
O12 O 0.572 0.917 0.357 1
O13 O 0.624 0.463 0.630 1
O14 O 0.626 0.458 0.122 1
O15 O 0.761 0.343 0.376 1
O16 O 0.789 0.358 0.864 1
O17 O 0.810 0.820 0.123 1
O18 O 0.827 0.823 0.631 1
O19 O 0.934 0.699 0.373 1
O20 O 0.959 0.708 0.875 1
```